This entry pairs a crystal structure of Ga2NiO4 with its theoretical X-ray powder pattern. Radiation: Cu Ka. Structure: a GGA+U-relaxed structure.

Structure:
a = 5.9586 Å, b = 5.9586 Å, c = 5.9586 Å
α = 59.75°, β = 59.75°, γ = 59.75°
Element x y z (fractional)
Ga (0.0000, 0.0000, 0.0000)
Ga (0.1278, 0.6186, 0.6186)
Ga (0.6186, 0.1278, 0.6186)
Ga (0.6186, 0.6186, 0.1278)
Ni (0.2441, 0.2441, 0.2441)
Ni (0.6185, 0.6185, 0.6185)
O (0.3737, 0.3737, 0.8393)
O (0.3737, 0.8393, 0.3737)
O (0.3808, 0.3808, 0.3808)
O (0.3939, 0.8664, 0.8664)
O (0.8393, 0.3737, 0.3737)
O (0.8664, 0.3939, 0.8664)
O (0.8664, 0.8664, 0.3939)
O (0.8657, 0.8657, 0.8657)

The 10 most intense peaks (10° ≤ 2θ ≤ 90°), by intensity:
2θ/deg, intensity
35.43, 100
56.93, 35
35.31, 34
62.60, 29
62.33, 29
43.02, 25
29.99, 21
30.11, 16
18.25, 14
37.08, 14